# 1
For SnPb5Se7, a crystal structure in Alexandria, relaxed with GGA-PBE gives the computed X-ray diffraction stick pattern in this record (Cu Ka).
Lines closer than 0.1° are merged.

Most intense lines, 2θ = 10–90°, in order of falling intensity:
30.2 deg, I = 100; 24.3 deg, I = 92; 42.0 deg, I = 83; 29.1 deg, I = 81; 43.1 deg, I = 43; 38.9 deg, I = 42; 27.5 deg, I = 40; 40.6 deg, I = 39

Crystal structure
Cell lengths 7.4892, 7.4892, 25.4942 Å; angles 90.00, 90.00, 147.44 degrees
Fractional positions:
Sn (0.2194, 0.7806, 0.7500)
Sn (0.7806, 0.2194, 0.2500)
Pb (0.0000, 0.0000, 0.0000)
Pb (0.0000, 0.0000, 0.5000)
Pb (0.2718, 0.7282, 0.0767)
Pb (0.2718, 0.7282, 0.4233)
Pb (0.4629, 0.5371, 0.6533)
Pb (0.4629, 0.5371, 0.8467)
Pb (0.5371, 0.4629, 0.1533)
Pb (0.5371, 0.4629, 0.3467)
Pb (0.7282, 0.2718, 0.5767)
Pb (0.7282, 0.2718, 0.9233)
Se (0.0877, 0.9123, 0.6095)
Se (0.0877, 0.9123, 0.8905)
Se (0.1890, 0.8110, 0.1821)
Se (0.1890, 0.8110, 0.3179)
Se (0.3639, 0.6361, 0.5390)
Se (0.3639, 0.6361, 0.9610)
Se (0.4182, 0.5818, 0.2500)
Se (0.5818, 0.4182, 0.7500)
Se (0.6361, 0.3639, 0.0390)
Se (0.6361, 0.3639, 0.4610)
Se (0.8110, 0.1890, 0.6821)
Se (0.8110, 0.1890, 0.8179)
Se (0.9123, 0.0877, 0.1095)
Se (0.9123, 0.0877, 0.3905)



# 2
For SnTePb2Se5, a crystal structure in Alexandria, relaxed with GGA-PBE gives the computed X-ray diffraction stick pattern in this record (Cu Ka).
Lines closer than 0.1° are merged.

Most intense lines, 2θ = 10–90°, in order of falling intensity:
29.4 deg, I = 100; 34.1 deg, I = 50; 29.7 deg, I = 48; 38.3 deg, I = 44; 23.8 deg, I = 39; 37.9 deg, I = 28; 24.4 deg, I = 27; 49.2 deg, I = 24

Crystal structure
Cell lengths 9.5989, 9.5989, 12.2218 Å; angles 90.00, 90.00, 151.67 degrees
Fractional positions:
Sn (0.0595, 0.9405, 0.5000)
Sn (0.9405, 0.0595, 0.0000)
Te (0.2801, 0.7199, 0.0916)
Te (0.7199, 0.2801, 0.5916)
Pb (0.3749, 0.6251, 0.7438)
Pb (0.3780, 0.6220, 0.3642)
Pb (0.6220, 0.3780, 0.8642)
Pb (0.6251, 0.3749, 0.2438)
Se (0.0211, 0.9789, 0.8248)
Se (0.1431, 0.8569, 0.0537)
Se (0.1800, 0.8200, 0.3860)
Se (0.2169, 0.7831, 0.7037)
Se (0.4551, 0.5449, 0.1035)
Se (0.5449, 0.4551, 0.6035)
Se (0.7831, 0.2169, 0.2037)
Se (0.8200, 0.1800, 0.8860)
Se (0.8569, 0.1431, 0.5537)
Se (0.9789, 0.0211, 0.3248)



# 3
For SrPb4Se, a crystal structure in Alexandria, relaxed with GGA-PBE gives the computed X-ray diffraction stick pattern in this record (Cu Ka).
Lines closer than 0.1° are merged.

Most intense lines, 2θ = 10–90°, in order of falling intensity:
32.4 deg, I = 100; 33.8 deg, I = 71; 16.7 deg, I = 47; 56.7 deg, I = 36; 51.8 deg, I = 36; 67.7 deg, I = 30; 80.4 deg, I = 23; 39.3 deg, I = 23

Crystal structure
Cell lengths 6.4891, 6.4891, 6.4891 Å; angles 60.00, 60.00, 60.00 degrees
Fractional positions:
Sr (0.0000, 0.0000, 0.0000)
Pb (0.1244, 0.6252, 0.6252)
Pb (0.6252, 0.1244, 0.6252)
Pb (0.6252, 0.6252, 0.1244)
Pb (0.6252, 0.6252, 0.6252)
Se (0.2500, 0.2500, 0.2500)



# 4
For SrPb2Se, a crystal structure in Alexandria, relaxed with GGA-PBE gives the computed X-ray diffraction stick pattern in this record (Cu Ka).
Lines closer than 0.1° are merged.

Most intense lines, 2θ = 10–90°, in order of falling intensity:
31.1 deg, I = 100; 42.5 deg, I = 86; 28.3 deg, I = 64; 28.6 deg, I = 62; 14.2 deg, I = 51; 40.6 deg, I = 49; 60.4 deg, I = 34; 52.2 deg, I = 24

Crystal structure
Cell lengths 7.0360, 6.9984, 4.5255 Å; angles 71.64, 70.74, 37.62 degrees
Fractional positions:
Sr (0.0000, 0.0000, 0.0000)
Pb (0.0000, 0.5000, 0.5000)
Pb (0.5000, 0.0000, 0.0000)
Se (0.5000, 0.5000, 0.5000)



# 5
For Tb14Pb3Se24, a crystal structure in Alexandria, relaxed with GGA-PBE gives the computed X-ray diffraction stick pattern in this record (Cu Ka).
Lines closer than 0.1° are merged.

Most intense lines, 2θ = 10–90°, in order of falling intensity:
32.0 deg, I = 100; 38.2 deg, I = 61; 32.2 deg, I = 55; 24.7 deg, I = 36; 38.1 deg, I = 27; 46.0 deg, I = 20; 24.8 deg, I = 19; 46.2 deg, I = 16

Crystal structure
Cell lengths 7.6286, 7.6286, 19.7971 Å; angles 104.90, 104.90, 70.30 degrees
Fractional positions:
Tb (0.0060, 0.0060, 0.1304)
Tb (0.0427, 0.2950, 0.3381)
Tb (0.2072, 0.7097, 0.3036)
Tb (0.2903, 0.7928, 0.6964)
Tb (0.3156, 0.3293, 0.5383)
Tb (0.3294, 0.3357, 0.7863)
Tb (0.5367, 0.0429, 0.9627)
Tb (0.6270, 0.1200, 0.3784)
Tb (0.6643, 0.6706, 0.2137)
Tb (0.6707, 0.6844, 0.4617)
Tb (0.7050, 0.9573, 0.6619)
Tb (0.8800, 0.3730, 0.6216)
Tb (0.9571, 0.4633, 0.0373)
Tb (0.9940, 0.9940, 0.8696)
Pb (0.3760, 0.6240, 0.0000)
Pb (0.4553, 0.2151, 0.1689)
Pb (0.7849, 0.5447, 0.8311)
Se (0.0014, 0.1306, 0.7444)
Se (0.0032, 0.6457, 0.7449)
Se (0.0154, 0.6676, 0.5811)
Se (0.0389, 0.4110, 0.2087)
Se (0.1915, 0.3170, 0.9111)
Se (0.2018, 0.0805, 0.0338)
Se (0.2509, 0.6267, 0.1353)
Se (0.2646, 0.1204, 0.6324)
Se (0.3324, 0.9846, 0.4189)
Se (0.3374, 0.4644, 0.4165)
Se (0.3543, 0.9968, 0.2551)
Se (0.3733, 0.7491, 0.8647)
Se (0.5356, 0.6626, 0.5835)
Se (0.5389, 0.4042, 0.6965)
Se (0.5890, 0.9611, 0.7913)
Se (0.5958, 0.4611, 0.3035)
Se (0.6827, 0.3077, 0.0836)
Se (0.6830, 0.8085, 0.0889)
Se (0.6923, 0.3173, 0.9164)
Se (0.6983, 0.0853, 0.5361)
Se (0.8694, 0.9986, 0.2556)
Se (0.8796, 0.7354, 0.3676)
Se (0.9147, 0.3017, 0.4639)
Se (0.9195, 0.7982, 0.9662)



# 6
For Tb4Pb2Se, a crystal structure in Alexandria, relaxed with GGA-PBE gives the computed X-ray diffraction stick pattern in this record (Cu Ka).
Lines closer than 0.1° are merged.

Most intense lines, 2θ = 10–90°, in order of falling intensity:
31.0 deg, I = 100; 33.1 deg, I = 100; 33.2 deg, I = 94; 30.9 deg, I = 91; 31.1 deg, I = 90; 37.2 deg, I = 77; 30.0 deg, I = 63; 49.6 deg, I = 54

Crystal structure
Cell lengths 6.7945, 6.7479, 9.6584 Å; angles 90.00, 110.24, 90.00 degrees
Fractional positions:
Tb (0.0115, 0.0042, 0.2542)
Tb (0.0115, 0.4958, 0.2542)
Tb (0.4230, 0.2500, 0.5726)
Tb (0.4260, 0.2500, 0.1396)
Tb (0.5740, 0.7500, 0.8604)
Tb (0.5770, 0.7500, 0.4274)
Tb (0.9885, 0.5042, 0.7458)
Tb (0.9885, 0.9958, 0.7458)
Pb (0.1789, 0.7500, 0.0422)
Pb (0.2003, 0.7500, 0.5500)
Pb (0.7997, 0.2500, 0.4500)
Pb (0.8211, 0.2500, 0.9578)
Se (0.3408, 0.2500, 0.8369)
Se (0.6592, 0.7500, 0.1631)



# 7
For Tb7PbSe5, a crystal structure in Alexandria, relaxed with GGA-PBE gives the computed X-ray diffraction stick pattern in this record (Cu Ka).
Lines closer than 0.1° are merged.

Most intense lines, 2θ = 10–90°, in order of falling intensity:
30.3 deg, I = 100; 28.9 deg, I = 72; 31.4 deg, I = 57; 43.7 deg, I = 34; 40.4 deg, I = 34; 44.3 deg, I = 28; 53.3 deg, I = 26; 44.6 deg, I = 21

Crystal structure
Cell lengths 7.0157, 7.0157, 24.3673 Å; angles 90.00, 90.00, 145.68 degrees
Fractional positions:
Tb (0.0207, 0.9793, 0.7500)
Tb (0.1382, 0.8618, 0.0363)
Tb (0.1382, 0.8618, 0.4637)
Tb (0.3187, 0.6813, 0.6767)
Tb (0.3187, 0.6813, 0.8233)
Tb (0.4049, 0.5951, 0.1149)
Tb (0.4049, 0.5951, 0.3851)
Tb (0.5951, 0.4049, 0.6149)
Tb (0.5951, 0.4049, 0.8851)
Tb (0.6813, 0.3187, 0.1767)
Tb (0.6813, 0.3187, 0.3233)
Tb (0.8618, 0.1382, 0.5363)
Tb (0.8618, 0.1382, 0.9637)
Tb (0.9793, 0.0207, 0.2500)
Pb (0.3057, 0.6943, 0.2500)
Pb (0.6943, 0.3057, 0.7500)
Se (0.0470, 0.9530, 0.1406)
Se (0.0470, 0.9530, 0.3594)
Se (0.2256, 0.7744, 0.5713)
Se (0.2256, 0.7744, 0.9287)
Se (0.5000, 0.5000, 0.0000)
Se (0.5000, 0.5000, 0.5000)
Se (0.7744, 0.2256, 0.0713)
Se (0.7744, 0.2256, 0.4287)
Se (0.9530, 0.0470, 0.6406)
Se (0.9530, 0.0470, 0.8594)



# 8
For TePbSe2, a crystal structure in Alexandria, relaxed with GGA-PBE gives the computed X-ray diffraction stick pattern in this record (Cu Ka).
Lines closer than 0.1° are merged.

Most intense lines, 2θ = 10–90°, in order of falling intensity:
31.5 deg, I = 100; 42.5 deg, I = 58; 37.4 deg, I = 47; 24.5 deg, I = 41; 25.5 deg, I = 35; 67.0 deg, I = 28; 29.1 deg, I = 25; 53.8 deg, I = 22

Crystal structure
Cell lengths 7.7918, 7.7918, 7.7918 Å; angles 31.72, 31.72, 31.72 degrees
Fractional positions:
Te (0.0000, 0.0000, 0.0000)
Pb (0.1694, 0.1694, 0.1694)
Se (0.4105, 0.4105, 0.4105)
Se (0.5880, 0.5880, 0.5880)



# 9
For Y4TePbSe2, a crystal structure in Alexandria, relaxed with GGA-PBE gives the computed X-ray diffraction stick pattern in this record (Cu Ka).
Lines closer than 0.1° are merged.

Most intense lines, 2θ = 10–90°, in order of falling intensity:
29.7 deg, I = 100; 42.5 deg, I = 37; 42.4 deg, I = 36; 69.9 deg, I = 21; 52.8 deg, I = 13; 61.6 deg, I = 12; 24.6 deg, I = 8; 77.9 deg, I = 8

Crystal structure
Cell lengths 7.3707, 4.2443, 7.3856 Å; angles 90.00, 109.33, 90.00 degrees
Fractional positions:
Y (0.2362, 0.0000, 0.2284)
Y (0.2515, 0.5000, 0.7662)
Y (0.7485, 0.5000, 0.2338)
Y (0.7638, 0.0000, 0.7716)
Te (0.5000, 0.5000, 0.5000)
Pb (0.0000, 0.0000, 0.5000)
Se (0.0000, 0.5000, 0.0000)
Se (0.5000, 0.0000, 0.0000)



# 10
For Th2PbSe5, a crystal structure in Alexandria, relaxed with GGA-PBE gives the computed X-ray diffraction stick pattern in this record (Cu Ka).
Lines closer than 0.1° are merged.

Most intense lines, 2θ = 10–90°, in order of falling intensity:
23.3 deg, I = 100; 23.9 deg, I = 75; 42.2 deg, I = 58; 33.1 deg, I = 55; 35.9 deg, I = 54; 42.5 deg, I = 46; 46.9 deg, I = 45; 24.3 deg, I = 44

Crystal structure
Cell lengths 8.6857, 8.6857, 8.0582 Å; angles 91.79, 91.79, 49.83 degrees
Fractional positions:
Th (0.1455, 0.6599, 0.9361)
Th (0.3401, 0.8545, 0.5639)
Th (0.6599, 0.1455, 0.4361)
Th (0.8545, 0.3401, 0.0639)
Pb (0.0000, 0.5000, 0.5000)
Pb (0.5000, 0.0000, 0.0000)
Se (0.0513, 0.9487, 0.2500)
Se (0.1174, 0.3307, 0.8365)
Se (0.3198, 0.5191, 0.6002)
Se (0.3307, 0.1174, 0.3365)
Se (0.4809, 0.6802, 0.8998)
Se (0.5191, 0.3198, 0.1002)
Se (0.6693, 0.8826, 0.6635)
Se (0.6802, 0.4809, 0.3998)
Se (0.8826, 0.6693, 0.1635)
Se (0.9487, 0.0513, 0.7500)



# 11
For Th4PbSe3, a crystal structure in Alexandria, relaxed with GGA-PBE gives the computed X-ray diffraction stick pattern in this record (Cu Ka).
Lines closer than 0.1° are merged.

Most intense lines, 2θ = 10–90°, in order of falling intensity:
29.3 deg, I = 100; 41.9 deg, I = 51; 68.9 deg, I = 23; 51.5 deg, I = 14; 41.4 deg, I = 14; 52.4 deg, I = 13; 42.5 deg, I = 12; 25.1 deg, I = 11

Crystal structure
Cell lengths 4.3637, 6.1016, 8.5087 Å; angles 90.00, 90.00, 90.00 degrees
Fractional positions:
Th (0.0000, 0.0000, 0.0000)
Th (0.0000, 0.0000, 0.5000)
Th (0.5000, 0.5000, 0.2303)
Th (0.5000, 0.5000, 0.7697)
Pb (0.0000, 0.5000, 0.5000)
Se (0.0000, 0.5000, 0.0000)
Se (0.5000, 0.0000, 0.2496)
Se (0.5000, 0.0000, 0.7504)



# 12
For TiPbSe3, a crystal structure in Alexandria, relaxed with GGA-PBE gives the computed X-ray diffraction stick pattern in this record (Cu Ka).
Lines closer than 0.1° are merged.

Most intense lines, 2θ = 10–90°, in order of falling intensity:
32.5 deg, I = 100; 35.7 deg, I = 78; 11.1 deg, I = 77; 28.8 deg, I = 66; 40.0 deg, I = 62; 31.8 deg, I = 61; 28.0 deg, I = 53; 25.8 deg, I = 39

Crystal structure
Cell lengths 8.1229, 3.7941, 8.5339 Å; angles 90.00, 99.95, 90.00 degrees
Fractional positions:
Ti (0.1542, 0.2500, 0.1515)
Ti (0.8458, 0.7500, 0.8485)
Pb (0.4005, 0.7500, 0.7058)
Pb (0.5995, 0.2500, 0.2942)
Se (0.0602, 0.2500, 0.8338)
Se (0.2781, 0.2500, 0.4328)
Se (0.3548, 0.7500, 0.0830)
Se (0.6452, 0.2500, 0.9170)
Se (0.7219, 0.7500, 0.5672)
Se (0.9398, 0.7500, 0.1662)